Entry 1:
Diffraction record for Mg7TlRh4. The X-ray diffraction stick pattern is theoretical, not measured: it uses a structure optimized by DFT (GGA-PBE) and Cu Kα (λ = 1.5418 Å).

Main lines, in order of rising 2θ (2θ = 15–90°):
2theta	d/Å	I/Imax
25.90	3.440	28
26.42	3.374	30
26.94	3.309	100
28.28	3.156	42
32.21	2.779	60
34.70	2.585	29
36.59	2.456	65
40.28	2.239	38
42.93	2.107	46
55.54	1.655	30

Atomic structure:
```
data_Mg7TlRh4
_cell_length_a 6.7325
_cell_length_b 6.7325
_cell_length_c 9.2799
_cell_angle_alpha 123.29
_cell_angle_beta 123.29
_cell_angle_gamma 42.79
_space_group_name_H-M_alt 'P 1'
_space_group_IT_number 1
loop_
_space_group_symop_operation_xyz
'x,y,z'
loop_
_atom_site_label
_atom_site_type_symbol
_atom_site_fract_x
_atom_site_fract_y
_atom_site_fract_z
Mg1 Mg 0.0000 0.0000 0.0000
Mg2 Mg 0.1782 0.1782 0.6178
Mg3 Mg 0.2803 0.2803 0.1301
Mg4 Mg 0.4316 0.4316 0.6309
Mg5 Mg 0.5684 0.5684 0.3691
Mg6 Mg 0.7197 0.7197 0.8699
Mg7 Mg 0.8218 0.8218 0.3822
Tl1 Tl 0.5000 0.5000 0.0000
Rh1 Rh 0.0670 0.0670 0.7802
Rh2 Rh 0.1911 0.1911 0.3445
Rh3 Rh 0.8089 0.8089 0.6555
Rh4 Rh 0.9330 0.9330 0.2198
```



Entry 2:
Diffraction record for Tm4MgRh3. The X-ray diffraction stick pattern is theoretical, not measured: it uses a structure optimized by DFT (GGA-PBE) and Cu Kα (λ = 1.5418 Å).

Main lines, in order of rising 2θ (2θ = 15–90°):
2theta	d/Å	I/Imax
31.04	2.882	37
33.77	2.654	57
35.32	2.541	26
37.30	2.411	30
37.78	2.381	100
39.19	2.299	25
56.98	1.616	15
59.73	1.548	37
69.78	1.348	22
77.42	1.233	16

Atomic structure:
```
data_Tm4MgRh3
_cell_length_a 8.1502
_cell_length_b 8.1502
_cell_length_c 8.1502
_cell_angle_alpha 97.18
_cell_angle_beta 97.18
_cell_angle_gamma 138.59
_space_group_name_H-M_alt 'P 1'
_space_group_IT_number 1
loop_
_space_group_symop_operation_xyz
'x,y,z'
loop_
_atom_site_label
_atom_site_type_symbol
_atom_site_fract_x
_atom_site_fract_y
_atom_site_fract_z
Tm1 Tm 0.0785 0.7828 0.8614
Tm2 Tm 0.2172 0.0785 0.2957
Tm3 Tm 0.2828 0.5785 0.8614
Tm4 Tm 0.4215 0.2828 0.7043
Tm5 Tm 0.5785 0.7172 0.2957
Tm6 Tm 0.7172 0.4215 0.1386
Tm7 Tm 0.7828 0.9215 0.7043
Tm8 Tm 0.9215 0.2172 0.1386
Mg1 Mg 0.2500 0.7500 0.5000
Mg2 Mg 0.7500 0.2500 0.5000
Rh1 Rh 0.1643 0.3357 0.5000
Rh2 Rh 0.2500 0.2500 0.0000
Rh3 Rh 0.3357 0.8357 0.1714
Rh4 Rh 0.6643 0.1643 0.8286
Rh5 Rh 0.7500 0.7500 0.0000
Rh6 Rh 0.8357 0.6643 0.5000
```



Entry 3:
Diffraction record for Tm5MgRh4. The X-ray diffraction stick pattern is theoretical, not measured: it uses a structure optimized by DFT (GGA-PBE) and Cu Kα (λ = 1.5418 Å).

Main lines, in order of rising 2θ (2θ = 15–90°):
2theta	d/Å	I/Imax
26.11	3.413	14
36.49	2.462	100
37.26	2.413	61
40.31	2.237	25
53.72	1.706	21
65.18	1.431	8
66.69	1.402	34
69.25	1.357	9
70.07	1.343	12
82.14	1.173	8

Atomic structure:
```
data_Tm5MgRh4
_cell_length_a 3.4128
_cell_length_b 3.4128
_cell_length_c 17.7776
_cell_angle_alpha 90.00
_cell_angle_beta 90.00
_cell_angle_gamma 90.00
_space_group_name_H-M_alt 'P 1'
_space_group_IT_number 1
loop_
_space_group_symop_operation_xyz
'x,y,z'
loop_
_atom_site_label
_atom_site_type_symbol
_atom_site_fract_x
_atom_site_fract_y
_atom_site_fract_z
Tm1 Tm 0.0000 0.0000 0.0000
Tm2 Tm 0.0000 0.0000 0.1884
Tm3 Tm 0.0000 0.0000 0.3740
Tm4 Tm 0.0000 0.0000 0.6260
Tm5 Tm 0.0000 0.0000 0.8116
Mg1 Mg 0.5000 0.5000 0.5000
Rh1 Rh 0.5000 0.5000 0.0944
Rh2 Rh 0.5000 0.5000 0.2852
Rh3 Rh 0.5000 0.5000 0.7148
Rh4 Rh 0.5000 0.5000 0.9056
```



Entry 4:
Diffraction record for Tm4MgRh. The X-ray diffraction stick pattern is theoretical, not measured: it uses a structure optimized by DFT (GGA-PBE) and Cu Kα (λ = 1.5418 Å).

Main lines, in order of rising 2θ (2θ = 15–90°):
2theta	d/Å	I/Imax
28.74	3.106	47
32.40	2.764	57
34.42	2.605	100
37.58	2.393	32
55.56	1.654	15
57.79	1.596	53
59.09	1.563	15
69.02	1.361	12
87.32	1.117	17
89.18	1.098	16

Atomic structure:
```
data_Tm4MgRh
_cell_length_a 9.5732
_cell_length_b 9.5732
_cell_length_c 9.5732
_cell_angle_alpha 60.00
_cell_angle_beta 60.00
_cell_angle_gamma 60.00
_space_group_name_H-M_alt 'P 1'
_space_group_IT_number 1
loop_
_space_group_symop_operation_xyz
'x,y,z'
loop_
_atom_site_label
_atom_site_type_symbol
_atom_site_fract_x
_atom_site_fract_y
_atom_site_fract_z
Tm1 Tm 0.0622 0.0622 0.4378
Tm2 Tm 0.0622 0.4378 0.0622
Tm3 Tm 0.0622 0.4378 0.4378
Tm4 Tm 0.1852 0.1852 0.8148
Tm5 Tm 0.1852 0.8148 0.1852
Tm6 Tm 0.1852 0.8148 0.8148
Tm7 Tm 0.2094 0.5969 0.5969
Tm8 Tm 0.4378 0.0622 0.0622
Tm9 Tm 0.4378 0.0622 0.4378
Tm10 Tm 0.4378 0.4378 0.0622
Tm11 Tm 0.5969 0.2094 0.5969
Tm12 Tm 0.5969 0.5969 0.2094
Tm13 Tm 0.5969 0.5969 0.5969
Tm14 Tm 0.8148 0.1852 0.1852
Tm15 Tm 0.8148 0.1852 0.8148
Tm16 Tm 0.8148 0.8148 0.1852
Mg1 Mg 0.5108 0.8297 0.8297
Mg2 Mg 0.8297 0.5108 0.8297
Mg3 Mg 0.8297 0.8297 0.5108
Mg4 Mg 0.8297 0.8297 0.8297
Rh1 Rh 0.3916 0.3916 0.3916
Rh2 Rh 0.3916 0.3916 0.8253
Rh3 Rh 0.3916 0.8253 0.3916
Rh4 Rh 0.8253 0.3916 0.3916
```



Entry 5:
Diffraction record for Tm2MgZnRh4. The X-ray diffraction stick pattern is theoretical, not measured: it uses a structure optimized by DFT (GGA-PBE) and Cu Kα (λ = 1.5418 Å).

Main lines, in order of rising 2θ (2θ = 15–90°):
2theta	d/Å	I/Imax
23.89	3.725	19
39.50	2.281	100
46.68	1.946	7
46.73	1.944	2
57.10	1.613	17
62.84	1.479	2
71.53	1.319	8
71.70	1.316	25
84.95	1.142	5
85.15	1.139	5

Atomic structure:
```
data_Tm2MgZnRh4
_cell_length_a 7.9143
_cell_length_b 7.9143
_cell_length_c 7.9143
_cell_angle_alpha 33.47
_cell_angle_beta 33.47
_cell_angle_gamma 33.47
_space_group_name_H-M_alt 'P 1'
_space_group_IT_number 1
loop_
_space_group_symop_operation_xyz
'x,y,z'
loop_
_atom_site_label
_atom_site_type_symbol
_atom_site_fract_x
_atom_site_fract_y
_atom_site_fract_z
Tm1 Tm 0.2484 0.2484 0.2484
Tm2 Tm 0.7516 0.7516 0.7516
Mg1 Mg 0.0000 0.0000 0.0000
Zn1 Zn 0.5000 0.5000 0.5000
Rh1 Rh 0.1258 0.1258 0.1258
Rh2 Rh 0.3760 0.3760 0.3760
Rh3 Rh 0.6240 0.6240 0.6240
Rh4 Rh 0.8742 0.8742 0.8742
```



Entry 6:
Diffraction record for MgURh4. The X-ray diffraction stick pattern is theoretical, not measured: it uses a structure optimized by DFT (GGA-PBE) and Cu Kα (λ = 1.5418 Å).

Main lines, in order of rising 2θ (2θ = 15–90°):
2theta	d/Å	I/Imax
27.21	3.277	11
38.96	2.312	100
42.68	2.118	24
45.55	1.991	17
47.55	1.912	14
64.18	1.451	11
67.97	1.379	11
75.64	1.257	11
79.74	1.203	12
82.68	1.167	9

Atomic structure:
```
data_MgURh4
_cell_length_a 7.6486
_cell_length_b 3.9828
_cell_length_c 12.7126
_cell_angle_alpha 90.00
_cell_angle_beta 90.00
_cell_angle_gamma 90.00
_space_group_name_H-M_alt 'P 1'
_space_group_IT_number 1
loop_
_space_group_symop_operation_xyz
'x,y,z'
loop_
_atom_site_label
_atom_site_type_symbol
_atom_site_fract_x
_atom_site_fract_y
_atom_site_fract_z
Mg1 Mg 0.2462 0.2500 0.2277
Mg2 Mg 0.2538 0.7500 0.7277
Mg3 Mg 0.7462 0.2500 0.2723
Mg4 Mg 0.7538 0.7500 0.7723
U1 U 0.2491 0.7500 0.4272
U2 U 0.2509 0.2500 0.9272
U3 U 0.7491 0.7500 0.0728
U4 U 0.7509 0.2500 0.5728
Rh1 Rh 0.0063 0.2500 0.7542
Rh2 Rh 0.0211 0.7500 0.9117
Rh3 Rh 0.0216 0.2500 0.4061
Rh4 Rh 0.2467 0.2500 0.5780
Rh5 Rh 0.2533 0.7500 0.0780
Rh6 Rh 0.4784 0.7500 0.9061
Rh7 Rh 0.4789 0.2500 0.4117
Rh8 Rh 0.4937 0.7500 0.2542
Rh9 Rh 0.5063 0.2500 0.7458
Rh10 Rh 0.5211 0.7500 0.5883
Rh11 Rh 0.5216 0.2500 0.0939
Rh12 Rh 0.7467 0.2500 0.9220
Rh13 Rh 0.7533 0.7500 0.4220
Rh14 Rh 0.9784 0.7500 0.5939
Rh15 Rh 0.9789 0.2500 0.0883
Rh16 Rh 0.9937 0.7500 0.2458
```



Entry 7:
Diffraction record for MgVRh4. The X-ray diffraction stick pattern is theoretical, not measured: it uses a structure optimized by DFT (GGA-PBE) and Cu Kα (λ = 1.5418 Å).

Main lines, in order of rising 2θ (2θ = 15–90°):
2theta	d/Å	I/Imax
24.31	3.661	54
34.32	2.613	30
37.95	2.371	62
40.36	2.235	54
42.18	2.142	64
45.58	1.990	100
47.68	1.907	18
49.57	1.839	16
77.07	1.237	20
86.80	1.122	18

Atomic structure:
```
data_MgVRh4
_cell_length_a 2.7970
_cell_length_b 4.4692
_cell_length_c 7.3229
_cell_angle_alpha 90.00
_cell_angle_beta 90.08
_cell_angle_gamma 90.00
_space_group_name_H-M_alt 'P 1'
_space_group_IT_number 1
loop_
_space_group_symop_operation_xyz
'x,y,z'
loop_
_atom_site_label
_atom_site_type_symbol
_atom_site_fract_x
_atom_site_fract_y
_atom_site_fract_z
Mg1 Mg 0.0000 0.0000 0.0000
V1 V 0.4808 0.5000 0.4993
Rh1 Rh 0.4974 0.0000 0.6827
Rh2 Rh 0.4984 0.0000 0.3176
Rh3 Rh 0.9950 0.5000 0.2138
Rh4 Rh 0.9954 0.5000 0.7850
```



Entry 8:
Diffraction record for MgV2Rh7. The X-ray diffraction stick pattern is theoretical, not measured: it uses a structure optimized by DFT (GGA-PBE) and Cu Kα (λ = 1.5418 Å).

Main lines, in order of rising 2θ (2θ = 15–90°):
2theta	d/Å	I/Imax
20.92	4.247	100
25.58	3.482	56
25.67	3.470	39
33.13	2.704	49
36.59	2.456	54
39.45	2.284	91
42.58	2.123	73
44.89	2.019	79
45.17	2.007	100
59.43	1.555	62

Atomic structure:
```
data_MgV2Rh7
_cell_length_a 6.9684
_cell_length_b 6.9684
_cell_length_c 4.2466
_cell_angle_alpha 90.00
_cell_angle_beta 90.00
_cell_angle_gamma 119.57
_space_group_name_H-M_alt 'P 1'
_space_group_IT_number 1
loop_
_space_group_symop_operation_xyz
'x,y,z'
loop_
_atom_site_label
_atom_site_type_symbol
_atom_site_fract_x
_atom_site_fract_y
_atom_site_fract_z
Mg1 Mg 0.0000 0.0000 0.0000
V1 V 0.2970 0.7030 0.5000
V2 V 0.7030 0.2970 0.5000
Rh1 Rh 0.0755 0.3108 0.5000
Rh2 Rh 0.2131 0.7869 0.0000
Rh3 Rh 0.3108 0.0755 0.5000
Rh4 Rh 0.5000 0.5000 0.5000
Rh5 Rh 0.6892 0.9245 0.5000
Rh6 Rh 0.7869 0.2131 0.0000
Rh7 Rh 0.9245 0.6892 0.5000
```



Entry 9:
Diffraction record for YMg4Rh2. The X-ray diffraction stick pattern is theoretical, not measured: it uses a structure optimized by DFT (GGA-PBE) and Cu Kα (λ = 1.5418 Å).

Main lines, in order of rising 2θ (2θ = 15–90°):
2theta	d/Å	I/Imax
22.37	3.974	29
25.68	3.470	79
31.85	2.810	63
32.35	2.767	66
35.73	2.513	21
40.92	2.205	34
41.35	2.184	100
47.14	1.928	18
52.77	1.735	29
89.84	1.092	18

Atomic structure:
```
data_YMg4Rh2
_cell_length_a 7.9471
_cell_length_b 7.9471
_cell_length_c 4.4108
_cell_angle_alpha 90.00
_cell_angle_beta 90.00
_cell_angle_gamma 90.00
_space_group_name_H-M_alt 'P 1'
_space_group_IT_number 1
loop_
_space_group_symop_operation_xyz
'x,y,z'
loop_
_atom_site_label
_atom_site_type_symbol
_atom_site_fract_x
_atom_site_fract_y
_atom_site_fract_z
Y1 Y 0.0000 0.0000 0.0000
Y2 Y 0.5000 0.5000 0.5000
Mg1 Mg 0.0870 0.3351 0.5000
Mg2 Mg 0.1649 0.5870 0.0000
Mg3 Mg 0.3351 0.0870 0.5000
Mg4 Mg 0.4130 0.8351 0.0000
Mg5 Mg 0.5870 0.1649 0.0000
Mg6 Mg 0.6649 0.9130 0.5000
Mg7 Mg 0.8351 0.4130 0.0000
Mg8 Mg 0.9130 0.6649 0.5000
Rh1 Rh 0.2356 0.7644 0.5000
Rh2 Rh 0.2644 0.2644 0.0000
Rh3 Rh 0.7356 0.7356 0.0000
Rh4 Rh 0.7644 0.2356 0.5000
```



Entry 10:
Diffraction record for Y3Mg5Rh2. The X-ray diffraction stick pattern is theoretical, not measured: it uses a structure optimized by DFT (GGA-PBE) and Cu Kα (λ = 1.5418 Å).

Main lines, in order of rising 2θ (2θ = 15–90°):
2theta	d/Å	I/Imax
20.17	4.403	31
29.15	3.064	27
29.82	2.996	37
31.69	2.824	35
31.94	2.802	75
35.70	2.515	100
37.05	2.426	42
37.84	2.377	76
38.41	2.344	34
38.63	2.331	70

Atomic structure:
```
data_Y3Mg5Rh2
_cell_length_a 9.4781
_cell_length_b 9.4781
_cell_length_c 9.4781
_cell_angle_alpha 112.85
_cell_angle_beta 79.67
_cell_angle_gamma 142.28
_space_group_name_H-M_alt 'P 1'
_space_group_IT_number 1
loop_
_space_group_symop_operation_xyz
'x,y,z'
loop_
_atom_site_label
_atom_site_type_symbol
_atom_site_fract_x
_atom_site_fract_y
_atom_site_fract_z
Y1 Y 0.1744 0.2093 0.3837
Y2 Y 0.2500 0.2500 0.0000
Y3 Y 0.3256 0.7093 0.0348
Y4 Y 0.6744 0.2907 0.9652
Y5 Y 0.7500 0.7500 0.0000
Y6 Y 0.8256 0.7907 0.6163
Mg1 Mg 0.0548 0.7500 0.3048
Mg2 Mg 0.0721 0.7232 0.7953
Mg3 Mg 0.2500 0.7500 0.5000
Mg4 Mg 0.4279 0.2232 0.6512
Mg5 Mg 0.4452 0.7500 0.6952
Mg6 Mg 0.5548 0.2500 0.3048
Mg7 Mg 0.5721 0.7768 0.3488
Mg8 Mg 0.7500 0.2500 0.5000
Mg9 Mg 0.9279 0.2768 0.2047
Mg10 Mg 0.9452 0.2500 0.6952
Rh1 Rh 0.1631 0.9371 0.1002
Rh2 Rh 0.3369 0.4371 0.7740
Rh3 Rh 0.6631 0.5629 0.2260
Rh4 Rh 0.8369 0.0629 0.8998
```



Entry 11:
Diffraction record for Mg4Zn4Rh. The X-ray diffraction stick pattern is theoretical, not measured: it uses a structure optimized by DFT (GGA-PBE) and Cu Kα (λ = 1.5418 Å).

Main lines, in order of rising 2θ (2θ = 15–90°):
2theta	d/Å	I/Imax
16.42	5.397	54
21.40	4.153	15
25.46	3.498	28
26.73	3.335	17
34.78	2.579	20
39.57	2.277	100
40.10	2.249	32
42.65	2.120	28
43.59	2.077	36
50.32	1.813	21

Atomic structure:
```
data_Mg4Zn4Rh
_cell_length_a 5.5434
_cell_length_b 5.5434
_cell_length_c 5.5132
_cell_angle_alpha 97.44
_cell_angle_beta 97.44
_cell_angle_gamma 99.79
_space_group_name_H-M_alt 'P 1'
_space_group_IT_number 1
loop_
_space_group_symop_operation_xyz
'x,y,z'
loop_
_atom_site_label
_atom_site_type_symbol
_atom_site_fract_x
_atom_site_fract_y
_atom_site_fract_z
Mg1 Mg 0.0000 0.0000 0.0000
Mg2 Mg 0.2077 0.8038 0.4974
Mg3 Mg 0.6345 0.6345 0.1887
Mg4 Mg 0.8038 0.2077 0.4974
Zn1 Zn 0.0383 0.5149 0.0197
Zn2 Zn 0.3158 0.3158 0.7700
Zn3 Zn 0.5149 0.0383 0.0197
Zn4 Zn 0.6641 0.6641 0.6850
Rh1 Rh 0.3177 0.3177 0.3253
```



Entry 12:
Diffraction record for Mg17Zn11Rh. The X-ray diffraction stick pattern is theoretical, not measured: it uses a structure optimized by DFT (GGA-PBE) and Cu Kα (λ = 1.5418 Å).

Main lines, in order of rising 2θ (2θ = 15–90°):
2theta	d/Å	I/Imax
20.01	4.437	54
21.50	4.132	97
21.87	4.064	72
37.07	2.425	63
37.60	2.392	67
38.01	2.367	100
38.27	2.352	52
41.32	2.185	54
41.80	2.161	98
42.45	2.129	66

Atomic structure:
```
data_Mg17Zn11Rh
_cell_length_a 8.6959
_cell_length_b 8.6959
_cell_length_c 8.7759
_cell_angle_alpha 107.37
_cell_angle_beta 107.37
_cell_angle_gamma 108.09
_space_group_name_H-M_alt 'P 1'
_space_group_IT_number 1
loop_
_space_group_symop_operation_xyz
'x,y,z'
loop_
_atom_site_label
_atom_site_type_symbol
_atom_site_fract_x
_atom_site_fract_y
_atom_site_fract_z
Mg1 Mg 0.0000 0.0000 0.0000
Mg2 Mg 0.2943 0.6841 0.6920
Mg3 Mg 0.3218 0.5672 0.9883
Mg4 Mg 0.3236 0.9779 0.5762
Mg5 Mg 0.3476 0.9957 0.9988
Mg6 Mg 0.3650 0.3650 0.6517
Mg7 Mg 0.3670 0.6379 0.3700
Mg8 Mg 0.5672 0.3218 0.9883
Mg9 Mg 0.5743 0.9819 0.3283
Mg10 Mg 0.6379 0.3670 0.3700
Mg11 Mg 0.6690 0.6690 0.2860
Mg12 Mg 0.6827 0.6827 0.6952
Mg13 Mg 0.6841 0.2943 0.6920
Mg14 Mg 0.9779 0.3236 0.5762
Mg15 Mg 0.9819 0.5743 0.3283
Mg16 Mg 0.9864 0.9864 0.3599
Mg17 Mg 0.9957 0.3476 0.9988
Zn1 Zn 0.9999 0.8108 0.6332
Zn2 Zn 0.0132 0.6358 0.8298
Zn3 Zn 0.1325 0.3202 0.3266
Zn4 Zn 0.1681 0.1681 0.7947
Zn5 Zn 0.1760 0.7890 0.1841
Zn6 Zn 0.3202 0.1325 0.3266
Zn7 Zn 0.6353 0.8229 0.0171
Zn8 Zn 0.6358 0.0132 0.8298
Zn9 Zn 0.7890 0.1760 0.1841
Zn10 Zn 0.8108 0.9999 0.6332
Zn11 Zn 0.8229 0.6353 0.0171
Rh1 Rh 0.3221 0.3221 0.1337
```